1.
Simulated powder diffraction line list
Compound: Ce4Mg7Ge6
Radiation: Cu Kα (λ = 1.5418 Å)
Structure: a cell relaxed with PBE

Structural model:
a b c (Å): 16.8694 4.5044 12.7432
angles (deg): 90.00 122.78 90.00
Space group C2/m (No. 12)
Unique sites:
Ce  0.1278  0.0000  0.3355 [4 per cell]
Ce  0.2321  0.0000  0.1093 [4 per cell]
Mg  0.0000  0.0000  0.0000 [2 per cell]
Mg  0.0392  0.5000  0.6388 [4 per cell]
Mg  0.0629  0.5000  0.8968 [4 per cell]
Mg  0.1892  0.0000  0.6539 [4 per cell]
Ge  0.1096  0.0000  0.8100 [4 per cell]
Ge  0.1220  0.5000  0.1553 [4 per cell]
Ge  0.1515  0.5000  0.5218 [4 per cell]

Largest 6 diffraction maxima, by intensity, 2θ from 15° to 90°:
Position (°2θ)  d_spacing  I/Imax  index
37.25  2.414  100  3 1 2
33.18  2.700  81  5 1 -2
29.80  2.998  72  1 1 -3
40.03  2.252  61  0 2 0
34.49  2.600  56  3 1 -4
29.39  3.039  47  3 1 -3

***

2.
Simulated powder diffraction line list
Compound: Ce5Mg8Ge8
Radiation: Cu Kα (λ = 1.5418 Å)
Structure: a cell relaxed with PBE

Structural model:
a b c (Å): 16.3784 4.5894 13.1995
angles (deg): 90.00 92.74 90.00
Space group C2/m (No. 12)
Unique sites:
Ce  0.0000  0.0000  0.0000 [2 per cell]
Ce  0.0954  0.5000  0.4366 [4 per cell]
Ce  0.1043  0.5000  0.7464 [4 per cell]
Mg  0.0720  0.0000  0.2513 [4 per cell]
Mg  0.1791  0.5000  0.0028 [4 per cell]
Mg  0.2001  0.0000  0.5682 [4 per cell]
Mg  0.2153  0.5000  0.2302 [4 per cell]
Ge  0.0359  0.0000  0.5893 [4 per cell]
Ge  0.0576  0.5000  0.1474 [4 per cell]
Ge  0.1583  0.0000  0.8883 [4 per cell]
Ge  0.2233  0.0000  0.3629 [4 per cell]

Largest 6 diffraction maxima, by intensity, 2θ from 15° to 90°:
Position (°2θ)  d_spacing  I/Imax  index
33.16  2.701  100  3 1 3
28.84  3.096  53  1 1 3
33.64  2.664  51  5 1 0
39.26  2.295  48  0 2 0
36.82  2.441  39  3 1 -4
24.40  3.649  27  1 1 2